This entry pairs a crystal structure of RbGaSe2 with its simulated powder X-ray diffraction pattern. Radiation: λ = 1.5418 Å (Cu Kα). Structure: a crystal structure in Alexandria, relaxed with GGA-PBE.
Lines closer than 0.1° are merged.

Largest 6 diffraction maxima, by angle, 2θ = 10–90°:
| Position (°2θ) | d_spacing | I_rel |
| --- | --- | --- |
| 14.4 | 6.136 | 64 |
| 27.9 | 3.197 | 66 |
| 28.0 | 3.182 | 100 |
| 28.3 | 3.154 | 62 |
| 28.5 | 3.135 | 61 |
| 40.8 | 2.210 | 75 |

Cell and atoms:
```
8
Lattice="6.136 0.000 0.000 0.007 6.371 0.000 0.056 3.048 6.810" Properties=species:S:1:pos:R:3 pbc="T T T"
Rb 1.473 1.590 0.026
Rb 4.727 7.829 6.784
Ga 3.099 3.121 3.401
Ga 3.100 6.298 3.408
Se 1.813 7.899 4.738
Se 1.798 4.710 2.075
Se 4.402 4.709 4.734
Se 4.386 1.520 2.071
```

=====

This entry pairs a crystal structure of RbGaSe2 with its simulated powder X-ray diffraction pattern. Radiation: λ = 1.5418 Å (Cu Kα). Structure: a crystal structure in Alexandria, relaxed with GGA-PBE.
Lines closer than 0.1° are merged.

Largest 6 diffraction maxima, by angle, 2θ = 10–90°:
| Position (°2θ) | d_spacing | I_rel |
| --- | --- | --- |
| 15.1 | 5.856 | 51 |
| 28.1 | 3.180 | 100 |
| 28.2 | 3.162 | 14 |
| 39.7 | 2.268 | 31 |
| 49.9 | 1.829 | 20 |
| 50.1 | 1.822 | 15 |

Cell and atoms:
```
16
Lattice="6.323 0.000 0.000 0.000 13.378 0.000 0.000 0.000 6.513" Properties=species:S:1:pos:R:3 pbc="T T T"
Rb 1.581 3.337 0.000
Rb 1.581 10.026 3.257
Rb 4.743 3.352 3.257
Rb 4.743 10.040 0.000
Ga 0.000 0.000 4.877
Ga 0.000 6.689 1.620
Ga 3.162 0.000 4.877
Ga 3.162 6.689 1.620
Se 1.581 1.332 3.562
Se 1.581 5.357 2.939
Se 1.581 8.021 0.305
Se 1.581 12.046 6.195
Se 4.743 1.331 6.195
Se 4.743 5.356 0.305
Se 4.743 8.020 2.939
Se 4.743 12.045 3.562
```

=====

This entry pairs a crystal structure of RbGaSe2 with its simulated powder X-ray diffraction pattern. Radiation: λ = 1.5418 Å (Cu Kα). Structure: a crystal structure in Alexandria, relaxed with GGA-PBE.
Lines closer than 0.1° are merged.

Largest 6 diffraction maxima, by angle, 2θ = 10–90°:
| Position (°2θ) | d_spacing | I_rel |
| --- | --- | --- |
| 10.4 | 8.475 | 100 |
| 26.3 | 3.389 | 20 |
| 28.1 | 3.176 | 71 |
| 29.8 | 3.002 | 29 |
| 43.6 | 2.075 | 14 |
| 49.7 | 1.835 | 15 |

Cell and atoms:
```
16
Lattice="10.513 0.000 0.000 0.000 4.150 0.000 0.000 0.000 14.321" Properties=species:S:1:pos:R:3 pbc="T T T"
Rb 2.368 1.037 2.742
Rb 2.889 3.112 9.902
Rb 7.624 1.037 4.419
Rb 8.145 3.112 11.580
Ga 0.330 3.112 5.830
Ga 4.926 1.037 12.991
Ga 5.587 3.112 1.331
Ga 10.182 1.037 8.491
Se 0.216 1.037 10.714
Se 1.547 1.037 6.797
Se 3.710 3.112 13.957
Se 5.041 3.112 3.553
Se 5.472 1.037 10.768
Se 6.803 1.037 0.364
Se 8.966 3.112 7.525
Se 10.297 3.112 3.607
```

=====

This entry pairs a crystal structure of Rb2GaTeSe4 with its simulated powder X-ray diffraction pattern. Radiation: λ = 1.5418 Å (Cu Kα). Structure: a crystal structure in Alexandria, relaxed with GGA-PBE.
Lines closer than 0.1° are merged.

Largest 6 diffraction maxima, by angle, 2θ = 10–90°:
| Position (°2θ) | d_spacing | I_rel |
| --- | --- | --- |
| 13.8 | 6.419 | 75 |
| 15.7 | 5.647 | 88 |
| 21.6 | 4.114 | 59 |
| 24.3 | 3.657 | 74 |
| 26.3 | 3.391 | 83 |
| 29.1 | 3.070 | 100 |

Cell and atoms:
```
16
Lattice="0.000 7.801 11.294 3.522 0.000 11.294 3.522 7.801 0.000" Properties=species:S:1:pos:R:3 pbc="T T T"
Rb 2.641 5.851 1.095
Rb 4.402 9.751 6.742
Rb 2.641 5.851 15.846
Rb 4.402 9.751 21.493
Ga 2.641 5.851 8.471
Ga 4.402 9.751 14.118
Te 0.880 1.950 2.824
Te 6.163 13.652 19.765
Se 4.141 4.184 7.478
Se 4.141 7.517 9.463
Se 5.902 8.085 15.110
Se 5.902 11.418 13.125
Se 1.142 4.184 9.463
Se 1.142 7.517 7.478
Se 2.903 8.085 13.125
Se 2.903 11.418 15.110
```

=====

This entry pairs a crystal structure of Rb2GaTeSe5 with its simulated powder X-ray diffraction pattern. Radiation: λ = 1.5418 Å (Cu Kα). Structure: a crystal structure in Alexandria, relaxed with GGA-PBE.
Lines closer than 0.1° are merged.

Largest 6 diffraction maxima, by angle, 2θ = 10–90°:
| Position (°2θ) | d_spacing | I_rel |
| --- | --- | --- |
| 14.7 | 6.024 | 27 |
| 26.4 | 3.382 | 89 |
| 28.4 | 3.139 | 37 |
| 29.6 | 3.014 | 100 |
| 31.5 | 2.840 | 35 |
| 46.9 | 1.939 | 27 |

Cell and atoms:
```
18
Lattice="1.939 -10.401 0.000 1.939 10.401 0.000 0.000 0.000 14.778" Properties=species:S:1:pos:R:3 pbc="T T T"
Rb 1.939 8.517 7.389
Rb 1.939 7.697 1.907
Rb 1.939 -7.697 9.296
Rb 1.939 -8.517 0.000
Ga 1.939 1.630 4.290
Ga 1.939 -1.630 11.680
Te 1.939 5.644 12.864
Te 1.939 -5.644 5.475
Se 1.939 8.983 13.183
Se 1.939 5.042 7.439
Se 1.939 4.003 3.488
Se 1.939 3.192 12.146
Se 1.939 0.200 2.384
Se 1.939 -0.200 9.773
Se 1.939 -3.192 4.756
Se 1.939 -4.003 10.877
Se 1.939 -5.042 0.050
Se 1.939 -8.983 5.794
```

=====

This entry pairs a crystal structure of Rb2ZrGaSe5 with its simulated powder X-ray diffraction pattern. Radiation: λ = 1.5418 Å (Cu Kα). Structure: a crystal structure in Alexandria, relaxed with GGA-PBE.
Lines closer than 0.1° are merged.

Largest 6 diffraction maxima, by angle, 2θ = 10–90°:
| Position (°2θ) | d_spacing | I_rel |
| --- | --- | --- |
| 10.4 | 8.535 | 32 |
| 14.6 | 6.058 | 26 |
| 26.4 | 3.378 | 53 |
| 29.7 | 3.006 | 100 |
| 36.6 | 2.457 | 28 |
| 45.6 | 1.989 | 30 |

Cell and atoms:
```
18
Lattice="1.920 -10.414 0.000 1.920 10.414 0.000 0.000 0.000 14.896" Properties=species:S:1:pos:R:3 pbc="T T T"
Rb 1.920 7.716 7.448
Rb 1.920 7.640 1.881
Rb 1.920 -7.640 9.329
Rb 1.920 -7.716 0.000
Zr 1.920 6.071 11.830
Zr 1.920 -6.071 4.382
Ga 1.920 1.512 5.800
Ga 1.920 -1.512 13.249
Se 1.920 9.059 11.729
Se 1.920 4.142 2.560
Se 1.920 3.954 6.369
Se 1.920 3.522 12.120
Se 1.920 0.232 7.800
Se 1.920 -0.232 0.352
Se 1.920 -3.522 4.672
Se 1.920 -3.954 13.817
Se 1.920 -4.142 10.008
Se 1.920 -9.059 4.281
```